(1)
Structure and theoretical powder XRD pattern of Zr2TiCu6 (a cell relaxed with GGA-PBE; Cu Kα, 1.54184 Å).
Lines closer than 0.1° are merged.

Cell: 5.2350 5.2350 5.7972 Å, 90.00 90.00 120.00°
Space group P-3m1 (No. 164)
Unique sites:
Zr 0.3333 0.6667 0.3841
Ti 0.0000 0.0000 0.5000
Cu 0.1751 0.3503 0.8381

Main lines, in order of falling intensity (2θ = 15–90°):
42.84 deg, d 2.111, intensity 100.0, hkl 0 2 1; 36.80 deg, d 2.442, intensity 70.1, hkl 1 0 2; 37.71 deg, d 2.386, intensity 54.6, hkl 1 1 1; 39.76 deg, d 2.267, intensity 22.5, hkl 2 0 0; 72.18 deg, d 1.309, intensity 21.9, hkl 2 2 0; 63.02 deg, d 1.475, intensity 19.9, hkl 1 2 2; 78.30 deg, d 1.221, intensity 14.5, hkl 0 2 4; 51.16 deg, d 1.786, intensity 13.3, hkl 2 0 2; 73.93 deg, d 1.282, intensity 12.9, hkl 2 1 3; 63.63 deg, d 1.462, intensity 12.0, hkl 3 0 1

=====

(2)
Structure and theoretical powder XRD pattern of K2LaBr6 (a cell relaxed with GGA-PBE; Cu Kα, 1.54184 Å).
Lines closer than 0.1° are merged.

Cell: 4.673 14.990 8.586 Å, 90.00 90.00 90.00°
Space group Amm2 (No. 38)
Unique sites:
K 0.000 0.168 0.000
La 0.500 0.000 0.504
Br 0.000 0.000 0.747
Br 0.000 0.120 0.380
Br 0.500 0.000 0.142
Br 0.500 0.182 0.681

Main lines, in order of falling intensity (2θ = 15–90°):
28.17 deg, d 3.168, intensity 100.0, hkl 1 0 2; 37.17 deg, d 2.419, intensity 40.5, hkl 1 5 1; 30.69 deg, d 2.913, intensity 39.3, hkl 1 2 2; 36.17 deg, d 2.483, intensity 32.6, hkl 0 3 3; 38.53 deg, d 2.336, intensity 27.0, hkl 2 0 0; 31.65 deg, d 2.827, intensity 20.7, hkl 0 5 1; 37.33 deg, d 2.409, intensity 20.3, hkl 1 1 3; 30.58 deg, d 2.923, intensity 20.1, hkl 1 4 0; 53.88 deg, d 1.702, intensity 19.9, hkl 2 3 3; 57.19 deg, d 1.611, intensity 16.8, hkl 1 8 2

=====

(3)
Structure and theoretical powder XRD pattern of Pm5Dy12Th2 (a cell relaxed with GGA-PBE; Cu Kα, 1.54184 Å).
Lines closer than 0.1° are merged.

Cell: 6.194 9.462 11.313 Å, 68.97 89.96 83.76°
Space group P-1 (No. 2)
Unique sites:
Pm 0.000 0.000 0.000
Pm 0.159 0.054 0.683
Pm 0.421 0.473 0.160
Dy 0.051 0.685 0.895
Dy 0.104 0.370 0.786
Dy 0.211 0.733 0.578
Dy 0.316 0.109 0.368
Dy 0.371 0.787 0.267
Dy 0.472 0.157 0.053
Th 0.262 0.424 0.475

Main lines, in order of falling intensity (2θ = 15–90°):
30.61 deg, d 2.920, intensity 100.0, hkl 2 0 1; 35.50 deg, d 2.529, intensity 50.7, hkl 2 1 -2; 60.73 deg, d 1.525, intensity 43.1, hkl 4 1 -1; 51.07 deg, d 1.788, intensity 36.2, hkl 3 3 2; 83.26 deg, d 1.161, intensity 13.4, hkl 5 3 3; 85.91 deg, d 1.131, intensity 9.7, hkl 4 5 6; 63.73 deg, d 1.460, intensity 9.3, hkl 4 0 2; 85.98 deg, d 1.131, intensity 7.0, hkl 5 4 0; 83.29 deg, d 1.160, intensity 4.5, hkl 4 6 3; 75.10 deg, d 1.265, intensity 3.8, hkl 2 4 8

=====

(4)
Structure and theoretical powder XRD pattern of Rb2Bi2Te3 (a cell relaxed with GGA-PBE; Cu Kα, 1.54184 Å).
Lines closer than 0.1° are merged.

Cell: 4.508 8.387 8.612 Å, 81.55 89.91 74.42°
Space group P-1 (No. 2)
Unique sites:
Rb 0.120 0.257 0.376
Bi 0.377 0.746 0.118
Te 0.000 0.500 0.000
Te 0.232 0.037 0.781

Main lines, in order of falling intensity (2θ = 15–90°):
26.98 deg, d 3.304, intensity 100.0, hkl -1 1 1; 25.16 deg, d 3.539, intensity 64.0, hkl 0 1 -2; 37.32 deg, d 2.410, intensity 44.4, hkl 1 3 -1; 37.14 deg, d 2.421, intensity 40.9, hkl 1 0 -3; 47.85 deg, d 1.901, intensity 22.7, hkl 2 0 2; 40.00 deg, d 2.254, intensity 19.1, hkl 2 1 0; 31.80 deg, d 2.814, intensity 18.7, hkl 1 2 2; 37.01 deg, d 2.429, intensity 17.2, hkl 0 3 2; 16.34 deg, d 5.426, intensity 16.1, hkl 0 1 -1; 45.10 deg, d 2.010, intensity 13.2, hkl 0 2 4

=====

(5)
Structure and theoretical powder XRD pattern of Ce5Zn2Ru2 (a cell relaxed with GGA-PBE; Cu Kα, 1.54184 Å).
Lines closer than 0.1° are merged.

Cell: 18.915 6.064 7.208 Å, 90.00 90.00 90.00°
Space group Ima2 (No. 46)
Unique sites:
Ce 0.082 0.151 0.000
Ce 0.161 0.609 0.154
Ce 0.250 0.107 0.291
Zn 0.051 0.636 0.853
Ru 0.000 0.000 0.694
Ru 0.250 0.567 0.470

Main lines, in order of falling intensity (2θ = 15–90°):
34.39 deg, d 2.608, intensity 100.0, hkl 6 1 1; 35.13 deg, d 2.555, intensity 94.7, hkl 3 2 1; 32.19 deg, d 2.781, intensity 63.3, hkl 3 1 2; 40.38 deg, d 2.234, intensity 58.1, hkl 0 1 3; 37.92 deg, d 2.373, intensity 54.6, hkl 6 0 2; 32.38 deg, d 2.765, intensity 51.3, hkl 1 2 1; 31.20 deg, d 2.866, intensity 21.3, hkl 4 0 2; 36.40 deg, d 2.468, intensity 19.4, hkl 7 1 0; 59.05 deg, d 1.564, intensity 16.9, hkl 6 0 4; 27.80 deg, d 3.210, intensity 15.6, hkl 5 1 0

=====

(6)
Structure and theoretical powder XRD pattern of HoAl10Fe2 (a cell relaxed with GGA-PBE; Cu Kα, 1.54184 Å).
Lines closer than 0.1° are merged.

Cell: 8.927 10.114 8.963 Å, 90.00 90.00 90.00°
Space group Cmcm (No. 63)
Unique sites:
Ho 0.000 0.126 0.250
Al 0.000 0.157 0.597
Al 0.000 0.375 0.049
Al 0.151 0.371 0.750
Al 0.225 0.360 0.250
Al 0.227 0.000 0.000
Fe 0.250 0.250 0.000

Main lines, in order of falling intensity (2θ = 15–90°):
40.45 deg, d 2.230, intensity 100.0, hkl 4 0 0; 41.00 deg, d 2.201, intensity 86.2, hkl 0 4 2; 34.85 deg, d 2.574, intensity 43.5, hkl 0 2 3; 16.53 deg, d 5.363, intensity 42.2, hkl 1 1 1; 28.23 deg, d 3.161, intensity 42.2, hkl 2 0 2; 28.47 deg, d 3.135, intensity 38.3, hkl 2 2 1; 37.35 deg, d 2.408, intensity 35.8, hkl 3 1 2; 40.25 deg, d 2.241, intensity 29.3, hkl 0 0 4; 58.87 deg, d 1.569, intensity 29.0, hkl 4 4 2; 20.16 deg, d 4.404, intensity 26.5, hkl 0 2 1

=====

(7)
Structure and theoretical powder XRD pattern of K2ScSb2 (a cell relaxed with GGA-PBE; Cu Kα, 1.54184 Å).
Lines closer than 0.1° are merged.

Cell: 7.670 7.670 5.829 Å, 90.00 90.00 90.00°
Space group P4/mbm (No. 127)
Unique sites:
K 0.167 0.333 0.000
Sc 0.000 0.000 0.500
Sb 0.137 0.637 0.500

Main lines, in order of falling intensity (2θ = 15–90°):
30.23 deg, d 2.956, intensity 100.0, hkl 2 1 1; 15.20 deg, d 5.829, intensity 45.9, hkl 0 0 1; 30.68 deg, d 2.914, intensity 27.8, hkl 0 0 2; 37.07 deg, d 2.425, intensity 23.2, hkl 3 1 0; 48.85 deg, d 1.864, intensity 20.2, hkl 3 1 2; 54.26 deg, d 1.690, intensity 18.0, hkl 2 1 3; 25.98 deg, d 3.430, intensity 17.5, hkl 2 1 0; 40.28 deg, d 2.239, intensity 14.8, hkl 3 1 1; 67.73 deg, d 1.383, intensity 12.1, hkl 5 2 1; 40.62 deg, d 2.221, intensity 11.2, hkl 2 1 2

=====

(8)
Structure and theoretical powder XRD pattern of Tc2PtRh (a cell relaxed with GGA-PBE; Cu Kα, 1.54184 Å).
Lines closer than 0.1° are merged.

Cell: 3.820 3.820 7.994 Å, 90.00 90.00 90.00°
Space group I4/mmm (No. 139)
Unique sites:
Tc 0.000 0.500 0.250
Pt 0.000 0.000 0.000
Rh 0.000 0.000 0.500

Main lines, in order of falling intensity (2θ = 15–90°):
40.30 deg, d 2.238, intensity 100.0, hkl 1 1 2; 47.61 deg, d 1.910, intensity 30.9, hkl 2 0 0; 83.63 deg, d 1.156, intensity 24.0, hkl 3 1 2; 67.88 deg, d 1.381, intensity 21.1, hkl 2 0 4; 45.38 deg, d 1.998, intensity 17.8, hkl 0 0 4; 80.36 deg, d 1.195, intensity 13.2, hkl 1 1 6; 87.10 deg, d 1.119, intensity 11.0, hkl 2 2 4; 69.62 deg, d 1.350, intensity 9.8, hkl 2 2 0; 25.85 deg, d 3.446, intensity 9.1, hkl 1 0 1; 22.24 deg, d 3.997, intensity 4.1, hkl 0 0 2

=====

(9)
Structure and theoretical powder XRD pattern of La2Ag2Ge3 (a cell relaxed with GGA-PBE; Cu Kα, 1.54184 Å).
Lines closer than 0.1° are merged.

Cell: 4.565 19.234 7.246 Å, 90.00 90.00 90.00°
Space group Cmcm (No. 63)
Unique sites:
La 0.000 0.052 0.250
La 0.000 0.155 0.750
Ag 0.000 0.312 0.556
Ge 0.000 0.222 0.250
Ge 0.000 0.441 0.072

Main lines, in order of falling intensity (2θ = 15–90°):
32.86 deg, d 2.726, intensity 100.0, hkl 1 5 1; 31.87 deg, d 2.808, intensity 88.2, hkl 1 1 2; 39.47 deg, d 2.283, intensity 66.3, hkl 2 0 0; 41.85 deg, d 2.158, intensity 41.2, hkl 0 4 3; 58.89 deg, d 1.568, intensity 29.3, hkl 2 4 3; 37.40 deg, d 2.404, intensity 23.5, hkl 0 8 0; 34.56 deg, d 2.595, intensity 23.3, hkl 1 3 2; 30.49 deg, d 2.932, intensity 22.9, hkl 0 6 1; 72.74 deg, d 1.300, intensity 14.9, hkl 1 5 5; 53.69 deg, d 1.707, intensity 14.6, hkl 1 9 2

=====

(10)
Structure and theoretical powder XRD pattern of FeNiAsBr2 (a cell relaxed with GGA-PBE; Cu Kα, 1.54184 Å).
Lines closer than 0.1° are merged.

Cell: 5.078 5.078 4.476 Å, 90.00 90.00 90.00°
Space group P4/mmm (No. 123)
Unique sites:
Fe 0.000 0.000 0.000
Ni 0.500 0.500 0.500
As 0.000 0.000 0.500
Br 0.000 0.500 0.000

Main lines, in order of falling intensity (2θ = 15–90°):
31.96 deg, d 2.801, intensity 100.0, hkl 1 1 1; 35.35 deg, d 2.539, intensity 82.9, hkl 2 0 0; 54.67 deg, d 1.679, intensity 45.2, hkl 2 0 2; 61.34 deg, d 1.511, intensity 29.7, hkl 3 1 1; 40.30 deg, d 2.238, intensity 28.5, hkl 0 0 2; 50.86 deg, d 1.795, intensity 28.3, hkl 2 2 0; 66.81 deg, d 1.400, intensity 24.2, hkl 2 2 2; 17.47 deg, d 5.078, intensity 19.1, hkl 1 0 0; 85.53 deg, d 1.135, intensity 12.3, hkl 4 2 0; 88.57 deg, d 1.104, intensity 11.4, hkl 4 0 2

=====

(11)
Structure and theoretical powder XRD pattern of Mg7Tl2Rh2 (a cell relaxed with GGA-PBE; Cu Kα, 1.54184 Å).
Lines closer than 0.1° are merged.

Cell: 4.394 8.786 11.701 Å, 90.00 90.00 90.00°
Space group Immm (No. 71)
Unique sites:
Mg 0.000 0.000 0.000
Mg 0.000 0.162 0.218
Mg 0.000 0.500 0.124
Tl 0.000 0.235 0.500
Rh 0.000 0.500 0.347

Main lines, in order of falling intensity (2θ = 15–90°):
36.99 deg, d 2.430, intensity 100.0, hkl 1 2 3; 21.60 deg, d 4.113, intensity 98.6, hkl 1 0 1; 36.90 deg, d 2.436, intensity 77.7, hkl 0 2 4; 25.35 deg, d 3.513, intensity 55.0, hkl 0 2 2; 29.75 deg, d 3.003, intensity 49.4, hkl 1 2 1; 41.09 deg, d 2.197, intensity 48.8, hkl 2 0 0; 15.14 deg, d 5.851, intensity 36.2, hkl 0 0 2; 72.16 deg, d 1.309, intensity 30.4, hkl 3 2 3; 56.41 deg, d 1.631, intensity 29.4, hkl 2 2 4; 46.89 deg, d 1.938, intensity 26.7, hkl 1 4 1

=====

(12)
Structure and theoretical powder XRD pattern of Tl2In3Br5 (a cell relaxed with GGA-PBE; Cu Kα, 1.54184 Å).
Lines closer than 0.1° are merged.

Cell: 4.516 8.345 10.195 Å, 78.43 85.93 77.42°
Space group P-1 (No. 2)
Unique sites:
Tl 0.199 0.399 0.200
In 0.000 0.000 0.000
In 0.398 0.799 0.401
Br 0.000 0.500 0.500
Br 0.200 0.904 0.699
Br 0.403 0.298 0.899

Main lines, in order of falling intensity (2θ = 15–90°):
26.81 deg, d 3.325, intensity 100.0, hkl 1 2 0; 26.99 deg, d 3.303, intensity 97.0, hkl 0 1 3; 27.12 deg, d 3.288, intensity 95.9, hkl 1 -1 1; 40.39 deg, d 2.233, intensity 65.6, hkl 2 1 1; 45.52 deg, d 1.993, intensity 46.4, hkl 0 4 2; 36.09 deg, d 2.489, intensity 45.0, hkl -1 2 2; 36.36 deg, d 2.471, intensity 44.1, hkl 1 1 -3; 36.51 deg, d 2.461, intensity 43.6, hkl 0 3 -1; 41.05 deg, d 2.199, intensity 31.8, hkl 1 0 4; 22.31 deg, d 3.985, intensity 25.3, hkl 0 2 1